# 1
# Ca2GeSb
Theoretical powder diffraction line list, Cu Kα (λ = 1.5418 Å). Input: a structure optimized by DFT (GGA-PBE).
Intensities are scaled so that the largest is 100.

```
data_Ca2GeSb
_chemical_formula_sum 'Ca8 Ge4 Sb4'
_symmetry_space_group_name_H-M 'F m -3 m'
_symmetry_Int_Tables_number 225
_symmetry_space_group_name_Hall '-F 4 2 3'
_cell_length_a 7.5566
_cell_length_b 7.5566
_cell_length_c 7.5566
_cell_angle_alpha 90.00
_cell_angle_beta 90.00
_cell_angle_gamma 90.00
loop_
_atom_site_label
_atom_site_type_symbol
_atom_site_fract_x
_atom_site_fract_y
_atom_site_fract_z
Ca1 Ca 0.2500 0.2500 0.2500
Ge1 Ge 0.0000 0.0000 0.0000
Sb1 Sb 0.0000 0.0000 0.5000
```

Largest 6 diffraction maxima, by angle, 2θ = 15–90°:
- 23.55°, I = 19, (2 0 0)
- 33.54°, I = 100, (2 2 0)
- 48.17°, I = 17, (4 0 0)
- 59.97°, I = 35, (4 2 2)
- 70.49°, I = 11, (4 4 0)
- 80.36°, I = 15, (6 2 0)

***

# 2
# Sr3Dy3MnSe8
Theoretical powder diffraction line list, Cu Kα (λ = 1.5418 Å). Input: a structure optimized by DFT (GGA-PBE).
Intensities are scaled so that the largest is 100.

```
data_Sr3Dy3MnSe8
_chemical_formula_sum 'Sr9 Dy9 Mn3 Se24'
_symmetry_space_group_name_H-M 'R -3 m'
_symmetry_Int_Tables_number 166
_symmetry_space_group_name_Hall '-R 3 2"'
_cell_length_a 8.2973
_cell_length_b 8.2973
_cell_length_c 21.3348
_cell_angle_alpha 90.00
_cell_angle_beta 90.00
_cell_angle_gamma 120.00
loop_
_atom_site_label
_atom_site_type_symbol
_atom_site_fract_x
_atom_site_fract_y
_atom_site_fract_z
Sr1 Sr 0.0000 0.5000 0.0000
Dy1 Dy 0.0000 0.5000 0.5000
Mn1 Mn 0.0000 0.0000 0.5000
Se1 Se 0.0000 0.0000 0.2433
Se2 Se 0.0067 0.5034 0.2399
```

Largest 6 diffraction maxima, by angle, 2θ = 15–90°:
- 29.99°, I = 100, (0 2 4)
- 42.20°, I = 36, (2 0 8)
- 43.63°, I = 36, (2 2 0)
- 53.85°, I = 19, (4 0 4)
- 69.65°, I = 14, (2 2 12)
- 71.72°, I = 16, (2 4 4)

***

# 3
# In3Pb4
Theoretical powder diffraction line list, Cu Kα (λ = 1.5418 Å). Input: a structure optimized by DFT (GGA-PBE).
Intensities are scaled so that the largest is 100.

```
data_In3Pb4
_chemical_formula_sum 'In6 Pb8'
_symmetry_space_group_name_H-M 'C 1 2/m 1'
_symmetry_Int_Tables_number 12
_symmetry_space_group_name_Hall '-C 2y'
_cell_length_a 11.1695
_cell_length_b 4.7269
_cell_length_c 8.0345
_cell_angle_alpha 90.00
_cell_angle_beta 100.28
_cell_angle_gamma 90.00
loop_
_atom_site_label
_atom_site_type_symbol
_atom_site_fract_x
_atom_site_fract_y
_atom_site_fract_z
In1 In 0.0000 0.0000 0.0000
In2 In 0.1472 0.0000 0.4343
Pb1 Pb 0.0639 0.5000 0.7122
Pb2 Pb 0.2145 0.5000 0.1434
```

Largest 6 diffraction maxima, by angle, 2θ = 15–90°:
- 31.37°, I = 100, (3 1 -1)
- 31.67°, I = 98, (1 1 2)
- 35.04°, I = 38, (2 0 -3)
- 36.49°, I = 33, (4 0 1)
- 38.07°, I = 30, (0 2 0)
- 52.70°, I = 24, (2 2 -3)

***

# 4
# K6RbAu
Theoretical powder diffraction line list, Cu Kα (λ = 1.5418 Å). Input: a structure optimized by DFT (GGA-PBE).
Intensities are scaled so that the largest is 100.

```
data_K6RbAu
_chemical_formula_sum 'K12 Rb2 Au2'
_symmetry_space_group_name_H-M 'C 1 2/m 1'
_symmetry_Int_Tables_number 12
_symmetry_space_group_name_Hall '-C 2y'
_cell_length_a 10.6294
_cell_length_b 12.8630
_cell_length_c 8.3290
_cell_angle_alpha 90.00
_cell_angle_beta 106.97
_cell_angle_gamma 90.00
loop_
_atom_site_label
_atom_site_type_symbol
_atom_site_fract_x
_atom_site_fract_y
_atom_site_fract_z
K1 K 0.0945 0.1857 0.2789
K2 K 0.2212 0.5000 0.0947
Rb1 Rb 0.0000 0.5000 0.5000
Au1 Au 0.0000 0.0000 0.0000
```

Largest 6 diffraction maxima, by angle, 2θ = 15–90°:
- 17.44°, I = 53, (1 1 1)
- 17.73°, I = 28, (2 0 -1)
- 26.31°, I = 100, (1 3 1)
- 27.78°, I = 31, (2 2 -2)
- 37.03°, I = 18, (2 4 -2)
- 38.07°, I = 37, (4 2 0)

***

# 5
# Ca2TaAsO6
Theoretical powder diffraction line list, Cu Kα (λ = 1.5418 Å). Input: a structure optimized by DFT (GGA-PBE).
Intensities are scaled so that the largest is 100.

```
data_Ca2TaAsO6
_chemical_formula_sum 'Ca2 Ta1 As1 O6'
_symmetry_space_group_name_H-M 'P 4 m m'
_symmetry_Int_Tables_number 99
_symmetry_space_group_name_Hall 'P 4 -2'
_cell_length_a 5.6852
_cell_length_b 5.6852
_cell_length_c 4.6689
_cell_angle_alpha 90.00
_cell_angle_beta 90.00
_cell_angle_gamma 90.00
loop_
_atom_site_label
_atom_site_type_symbol
_atom_site_fract_x
_atom_site_fract_y
_atom_site_fract_z
Ca1 Ca 0.0000 0.5000 0.0000
Ta1 Ta 0.0000 0.0000 0.6169
As1 As 0.5000 0.5000 0.6184
O1 O 0.0000 0.0000 0.2202
O2 O 0.2354 0.2354 0.7358
O3 O 0.5000 0.5000 0.2444
```

Largest 6 diffraction maxima, by angle, 2θ = 15–90°:
- 19.01°, I = 42, (0 0 1)
- 22.11°, I = 46, (1 1 0)
- 29.32°, I = 100, (1 1 1)
- 31.47°, I = 43, (2 0 0)
- 45.11°, I = 30, (2 2 0)
- 54.71°, I = 34, (3 1 1)

***

# 6
# K3H2F
Theoretical powder diffraction line list, Cu Kα (λ = 1.5418 Å). Input: a structure optimized by DFT (GGA-PBE).
Intensities are scaled so that the largest is 100.

```
data_K3H2F
_chemical_formula_sum 'K6 H4 F2'
_symmetry_space_group_name_H-M 'I 4/m m m'
_symmetry_Int_Tables_number 139
_symmetry_space_group_name_Hall '-I 4 2'
_cell_length_a 3.9419
_cell_length_b 3.9419
_cell_length_c 16.7369
_cell_angle_alpha 90.00
_cell_angle_beta 90.00
_cell_angle_gamma 90.00
loop_
_atom_site_label
_atom_site_type_symbol
_atom_site_fract_x
_atom_site_fract_y
_atom_site_fract_z
K1 K 0.0000 0.0000 0.0000
K2 K 0.0000 0.0000 0.3367
H1 H 0.0000 0.0000 0.1654
F1 F 0.0000 0.0000 0.5000
```

Largest 6 diffraction maxima, by angle, 2θ = 15–90°:
- 27.71°, I = 93, (1 0 3)
- 32.10°, I = 100, (1 1 0)
- 46.04°, I = 63, (2 0 0)
- 54.59°, I = 35, (2 1 3)
- 57.23°, I = 20, (2 0 6)
- 76.38°, I = 22, (3 1 0)

***

# 7
# Pr3Hg2Ru
Theoretical powder diffraction line list, Cu Kα (λ = 1.5418 Å). Input: a structure optimized by DFT (GGA-PBE).
Intensities are scaled so that the largest is 100.

```
data_Pr3Hg2Ru
_chemical_formula_sum 'Pr6 Hg4 Ru2'
_symmetry_space_group_name_H-M 'P 1 2/m 1'
_symmetry_Int_Tables_number 10
_symmetry_space_group_name_Hall '-P 2y'
_cell_length_a 5.2899
_cell_length_b 7.7321
_cell_length_c 8.2425
_cell_angle_alpha 90.00
_cell_angle_beta 108.62
_cell_angle_gamma 90.00
loop_
_atom_site_label
_atom_site_type_symbol
_atom_site_fract_x
_atom_site_fract_y
_atom_site_fract_z
Pr1 Pr 0.0000 0.2333 0.0000
Pr2 Pr 0.3250 0.2253 0.6508
Hg1 Hg 0.1660 0.5000 0.3300
Hg2 Hg 0.5000 0.0000 0.0000
Hg3 Hg 0.5000 0.5000 0.0000
Ru1 Ru 0.1623 0.0000 0.3270
```

Largest 6 diffraction maxima, by angle, 2θ = 15–90°:
- 33.47°, I = 100, (1 2 1)
- 33.89°, I = 25, (2 0 -1)
- 34.45°, I = 23, (0 0 3)
- 49.10°, I = 17, (2 0 -4)
- 60.37°, I = 19, (3 2 0)
- 61.09°, I = 17, (1 2 4)

***

# 8
# Tb5Sc2
Theoretical powder diffraction line list, Cu Kα (λ = 1.5418 Å). Input: a structure optimized by DFT (GGA-PBE).
Intensities are scaled so that the largest is 100.

```
data_Tb5Sc2
_chemical_formula_sum 'Tb10 Sc4'
_symmetry_space_group_name_H-M 'P 4/m b m'
_symmetry_Int_Tables_number 127
_symmetry_space_group_name_Hall '-P 4 2ab'
_cell_length_a 11.2778
_cell_length_b 11.2778
_cell_length_c 3.3913
_cell_angle_alpha 90.00
_cell_angle_beta 90.00
_cell_angle_gamma 90.00
loop_
_atom_site_label
_atom_site_type_symbol
_atom_site_fract_x
_atom_site_fract_y
_atom_site_fract_z
Tb1 Tb 0.0000 0.5000 0.0000
Tb2 Tb 0.0497 0.2035 0.0000
Sc1 Sc 0.1878 0.6878 0.5000
```

Largest 6 diffraction maxima, by angle, 2θ = 15–90°:
- 24.97°, I = 86, (3 1 0)
- 26.28°, I = 100, (0 0 1)
- 31.77°, I = 71, (4 0 0)
- 32.74°, I = 99, (4 1 0)
- 33.72°, I = 59, (3 3 0)
- 36.56°, I = 93, (3 1 1)

***

# 9
# Nb6SnPd
Theoretical powder diffraction line list, Cu Kα (λ = 1.5418 Å). Input: a structure optimized by DFT (GGA-PBE).
Intensities are scaled so that the largest is 100.

```
data_Nb6SnPd
_chemical_formula_sum 'Nb12 Sn2 Pd2'
_symmetry_space_group_name_H-M 'C m m m'
_symmetry_Int_Tables_number 65
_symmetry_space_group_name_Hall '-C 2 2'
_cell_length_a 7.1860
_cell_length_b 8.9878
_cell_length_c 4.5011
_cell_angle_alpha 90.00
_cell_angle_beta 90.00
_cell_angle_gamma 90.00
loop_
_atom_site_label
_atom_site_type_symbol
_atom_site_fract_x
_atom_site_fract_y
_atom_site_fract_z
Nb1 Nb 0.0000 0.2440 0.0000
Nb2 Nb 0.2360 0.5000 0.0000
Nb3 Nb 0.2500 0.2500 0.5000
Sn1 Sn 0.0000 0.0000 0.5000
Pd1 Pd 0.0000 0.5000 0.5000
```

Largest 6 diffraction maxima, by angle, 2θ = 15–90°:
- 37.78°, I = 100, (2 2 1)
- 40.10°, I = 42, (0 0 2)
- 58.00°, I = 14, (0 4 2)
- 66.63°, I = 18, (4 0 2)
- 71.32°, I = 30, (2 2 3)
- 80.70°, I = 10, (4 4 2)

***

Please write out number 8 again, unchanged.
# Tb5Sc2
Theoretical powder diffraction line list, Cu Kα (λ = 1.5418 Å). Input: a structure optimized by DFT (GGA-PBE).
Intensities are scaled so that the largest is 100.

```
data_Tb5Sc2
_chemical_formula_sum 'Tb10 Sc4'
_symmetry_space_group_name_H-M 'P 4/m b m'
_symmetry_Int_Tables_number 127
_symmetry_space_group_name_Hall '-P 4 2ab'
_cell_length_a 11.2778
_cell_length_b 11.2778
_cell_length_c 3.3913
_cell_angle_alpha 90.00
_cell_angle_beta 90.00
_cell_angle_gamma 90.00
loop_
_atom_site_label
_atom_site_type_symbol
_atom_site_fract_x
_atom_site_fract_y
_atom_site_fract_z
Tb1 Tb 0.0000 0.5000 0.0000
Tb2 Tb 0.0497 0.2035 0.0000
Sc1 Sc 0.1878 0.6878 0.5000
```

Largest 6 diffraction maxima, by angle, 2θ = 15–90°:
- 24.97°, I = 86, (3 1 0)
- 26.28°, I = 100, (0 0 1)
- 31.77°, I = 71, (4 0 0)
- 32.74°, I = 99, (4 1 0)
- 33.72°, I = 59, (3 3 0)
- 36.56°, I = 93, (3 1 1)